Diffraction record for CaTeO3. The PXRD pattern is simulated, not measured: it uses a cell relaxed with GGA-PBE and λ = 1.5418 Å (Cu Kα).

Principal peaks in the range 10 to 90 degrees two-theta, sorted by position:
4.052 Å, I 47; 4.003 Å, I 54; 3.957 Å, I 49; 3.573 Å, I 23; 3.277 Å, I 100; 3.216 Å, I 88; 2.877 Å, I 34; 2.030 Å, I 36

a b c (Å): 8.674 5.750 22.944
angles (deg): 90.00 110.87 90.00
Element x y z (fractional)
Ca: 0.007 0.157 0.316
Ca: 0.007 0.343 0.816
Ca: 0.020 0.230 0.059
Ca: 0.020 0.270 0.559
Ca: 0.300 0.174 0.225
Ca: 0.300 0.326 0.725
Ca: 0.700 0.674 0.275
Ca: 0.700 0.826 0.775
Ca: 0.980 0.730 0.441
Ca: 0.980 0.770 0.941
Ca: 0.993 0.657 0.184
Ca: 0.993 0.843 0.684
Te: 0.255 0.662 0.336
Te: 0.255 0.838 0.836
Te: 0.307 0.244 0.488
Te: 0.307 0.256 0.988
Te: 0.322 0.736 0.125
Te: 0.322 0.764 0.625
Te: 0.678 0.236 0.375
Te: 0.678 0.264 0.875
Te: 0.693 0.744 0.012
Te: 0.693 0.756 0.512
Te: 0.745 0.162 0.164
Te: 0.745 0.338 0.664
O: 0.078 0.736 0.859
O: 0.078 0.764 0.359
O: 0.145 0.583 0.630
O: 0.145 0.917 0.130
O: 0.151 0.068 0.775
O: 0.151 0.432 0.275
O: 0.165 0.016 0.499
O: 0.165 0.484 0.999
O: 0.190 0.012 0.009
O: 0.190 0.488 0.509
O: 0.213 0.600 0.775
O: 0.213 0.900 0.275
O: 0.239 0.046 0.646
O: 0.239 0.454 0.146
O: 0.247 0.227 0.901
O: 0.247 0.273 0.401
O: 0.470 0.650 0.703
O: 0.470 0.850 0.203
O: 0.530 0.150 0.797
O: 0.530 0.350 0.297
O: 0.753 0.727 0.599
O: 0.753 0.773 0.099
O: 0.761 0.546 0.854
O: 0.761 0.954 0.354
O: 0.787 0.100 0.725
O: 0.787 0.400 0.225
O: 0.810 0.512 0.491
O: 0.810 0.988 0.991
O: 0.835 0.516 0.001
O: 0.835 0.984 0.501
O: 0.849 0.568 0.725
O: 0.849 0.932 0.225
O: 0.855 0.083 0.870
O: 0.855 0.417 0.370
O: 0.922 0.236 0.641
O: 0.922 0.264 0.141

---

Diffraction record for CaTeO3. The PXRD pattern is simulated, not measured: it uses a cell relaxed with GGA-PBE and λ = 1.5418 Å (Cu Kα).

Principal peaks in the range 10 to 90 degrees two-theta, sorted by position:
4.106 Å, I 48; 4.026 Å, I 55; 3.962 Å, I 50; 3.589 Å, I 24; 3.291 Å, I 100; 3.236 Å, I 89; 2.874 Å, I 44; 2.032 Å, I 24

a b c (Å): 8.770 5.748 11.500
angles (deg): 90.00 110.56 90.00
Element x y z (fractional)
Ca: 0.003 0.000 0.131
Ca: 0.019 0.928 0.619
Ca: 0.300 0.982 0.952
Ca: 0.700 0.482 0.048
Ca: 0.981 0.428 0.381
Ca: 0.997 0.500 0.869
Te: 0.253 0.493 0.172
Te: 0.301 0.905 0.475
Te: 0.322 0.421 0.754
Te: 0.678 0.921 0.246
Te: 0.699 0.405 0.525
Te: 0.747 0.993 0.828
O: 0.080 0.388 0.220
O: 0.150 0.726 0.052
O: 0.151 0.229 0.762
O: 0.169 0.146 0.498
O: 0.179 0.672 0.519
O: 0.209 0.257 0.049
O: 0.233 0.694 0.799
O: 0.236 0.872 0.302
O: 0.469 0.310 0.909
O: 0.531 0.810 0.091
O: 0.764 0.372 0.698
O: 0.767 0.194 0.201
O: 0.791 0.757 0.951
O: 0.821 0.172 0.481
O: 0.831 0.646 0.502
O: 0.849 0.729 0.238
O: 0.850 0.226 0.948
O: 0.920 0.888 0.780

---

Diffraction record for Ca2TeO5. The PXRD pattern is simulated, not measured: it uses a cell relaxed with GGA-PBE and λ = 1.5418 Å (Cu Kα).

Principal peaks in the range 10 to 90 degrees two-theta, sorted by position:
8.417 Å, I 97; 3.735 Å, I 15; 3.414 Å, I 100; 2.886 Å, I 22; 2.806 Å, I 15; 2.793 Å, I 55; 2.012 Å, I 17; 1.535 Å, I 15

a b c (Å): 9.229 9.229 9.229
angles (deg): 48.42 149.22 143.56
Element x y z (fractional)
Ca: 0.088 0.158 0.245
Ca: 0.088 0.342 0.430
Ca: 0.912 0.658 0.570
Ca: 0.912 0.842 0.755
Te: 0.540 0.040 0.500
Te: 0.540 0.540 0.000
O: 0.021 0.006 0.515
O: 0.043 0.243 0.713
O: 0.043 0.830 0.300
O: 0.417 0.658 0.966
O: 0.417 0.951 0.258
O: 0.492 0.506 0.485
O: 0.530 0.330 0.287
O: 0.530 0.743 0.700
O: 0.692 0.158 0.742
O: 0.692 0.451 0.034